Structure and computed XRD peak list of Li2VCrO4 (a DFT-relaxed cell (PBE+U, Alexandria); λ = 1.5418 Å (Cu Kα)).

Atomic structure:
Cell: 5.1701 5.9961 7.8753 Å, 100.84 96.47 106.93°
Atoms (fractional coordinates):
Li 0.0002 0.0815 0.3351
Li 0.0003 0.4166 0.6663
Li 0.9997 0.5834 0.3337
Li 0.9998 0.9185 0.6649
Li 0.0027 0.2560 0.9972
Li 0.9973 0.7440 0.0028
V 0.5000 0.0000 0.5000
V 0.4996 0.1647 0.1661
V 0.5004 0.8353 0.8339
Cr 0.4986 0.3355 0.8328
Cr 0.5000 0.5000 0.5000
Cr 0.5014 0.6645 0.1672
O 0.2713 0.2202 0.5868
O 0.2717 0.0499 0.9173
O 0.2732 0.8759 0.2523
O 0.2742 0.5472 0.9205
O 0.2744 0.7142 0.5843
O 0.2751 0.3818 0.2526
O 0.7249 0.6182 0.7474
O 0.7256 0.2858 0.4157
O 0.7258 0.4528 0.0795
O 0.7268 0.1241 0.7477
O 0.7283 0.9501 0.0827
O 0.7287 0.7798 0.4132

Top 6 peaks for 10 to 80 degrees two-theta, by angle:
hkl  2θ (°)  I (rel.)
1 0 0  18.23  100
-1 2 1  35.15  27
1 2 -2  42.74  58
1 0 3  43.04  28
-1 2 4  62.22  23
0 2 -5  62.31  15